Computed powder diffractogram of Ho3Pt for Cu Kα (λ = 1.5418 Å), from a GGA-PBE-relaxed structure.

Top 10 peaks for 10° ≤ 2θ ≤ 80°, low angle first:
h k l	two_theta	intensity
1 1 2	30.27	59.0
4 0 0	30.95	18.4
3 2 1	31.27	46.3
3 3 0	32.88	20.2
4 2 0	34.71	77.1
1 4 1	35.00	36.8
3 3 1	35.88	39.3
3 1 2	37.58	100.0
1 5 0	39.77	22.6
0 0 4	58.29	32.0

a = 11.5581 Å, b = 11.5581 Å, c = 6.3338 Å
α = 90.00°, β = 90.00°, γ = 90.00°
Sites, in units of the cell vectors:
Ho (0.0384, 0.9046, 0.2082)
Ho (0.0954, 0.5384, 0.7082)
Ho (0.1148, 0.3074, 0.0248)
Ho (0.1175, 0.8379, 0.7023)
Ho (0.1621, 0.6175, 0.2023)
Ho (0.1926, 0.1148, 0.4752)
Ho (0.3074, 0.3852, 0.4752)
Ho (0.3379, 0.8825, 0.2023)
Ho (0.3825, 0.6621, 0.7023)
Ho (0.3852, 0.1926, 0.0248)
Ho (0.4046, 0.9616, 0.7082)
Ho (0.4616, 0.5954, 0.2082)
Ho (0.5384, 0.4046, 0.7918)
Ho (0.5954, 0.0384, 0.2918)
Ho (0.6148, 0.8074, 0.9752)
Ho (0.6175, 0.3379, 0.2977)
Ho (0.6621, 0.1175, 0.7977)
Ho (0.6926, 0.6148, 0.5248)
Ho (0.8074, 0.8852, 0.5248)
Ho (0.8379, 0.3825, 0.7977)
Ho (0.8825, 0.1621, 0.2977)
Ho (0.8852, 0.6926, 0.9752)
Ho (0.9046, 0.4616, 0.2918)
Ho (0.9616, 0.0954, 0.7918)
Pt (0.0554, 0.3167, 0.5166)
Pt (0.1833, 0.0554, 0.9834)
Pt (0.3167, 0.4446, 0.9834)
Pt (0.4446, 0.1833, 0.5166)
Pt (0.5554, 0.8167, 0.4834)
Pt (0.6833, 0.5554, 0.0166)
Pt (0.8167, 0.9446, 0.0166)
Pt (0.9446, 0.6833, 0.4834)